For EuCrO4, a DFT-relaxed cell (GGA+U, the Materials Project) gives the simulated powder X-ray diffraction pattern in this record (Cu Kα).
Kinematic intensities with the Lorentz-polarization factor, no thermal factor.

```
EuCrO4
1.0
-3.7189 3.7189 3.2222
3.7189 -3.7189 3.2222
3.7189 3.7189 -3.2222
Eu Cr O
2 2 8
direct
0.3750 0.6250 0.7500
0.6250 0.3750 0.2500
0.1250 0.8750 0.2500
0.8750 0.1250 0.7500
0.1407 0.7124 0.4283
0.2160 0.2876 0.9283
0.2876 0.2160 0.4283
0.2876 0.8593 0.0717
0.7124 0.1407 0.9283
0.7124 0.7840 0.5717
0.7840 0.7124 0.0717
0.8593 0.2876 0.5717
```

Largest 12 diffraction maxima, in order of falling intensity, 2θ from 15° to 90°:
d (Å)	I/Imax
3.719	100
2.748	70
1.900	57
4.870	28
2.630	23
1.540	16
1.859	15
1.329	14
2.314	14
1.663	13
1.965	13
1.157	11